# Cs3VCd2F9
Calculated XRD peak list, Cu Ka. Input: a DFT-relaxed cell (PBE+U, Alexandria).

Cell and atoms:
Unit cell a=6.347 b=6.347 c=7.769 alpha=90.00 beta=90.00 gamma=120.00
Atoms (fractional coordinates):
Cs: 0.000 0.000 0.000
Cs: 0.333 0.667 0.667
Cs: 0.667 0.333 0.333
V: 0.000 0.000 0.500
Cd: 0.333 0.667 0.174
Cd: 0.667 0.333 0.826
F: 0.000 0.500 0.000
F: 0.161 0.322 0.340
F: 0.161 0.839 0.340
F: 0.322 0.161 0.660
F: 0.500 0.000 0.000
F: 0.500 0.500 0.000
F: 0.678 0.839 0.340
F: 0.839 0.161 0.660
F: 0.839 0.678 0.660

Largest 12 diffraction maxima, by intensity, 2θ from 10° to 80°:
- (1 1 0), 2θ = 28.1°, I 100.0
- (3 0 0), 2θ = 49.8°, I 40.8
- (2 0 2), 2θ = 40.2°, I 36.0
- (2 2 0), 2θ = 58.1°, I 22.5
- (3 1 2), 2θ = 65.8°, I 17.9
- (4 1 0), 2θ = 80.0°, I 10.4
- (0 0 3), 2θ = 34.6°, I 9.0
- (0 4 2), 2θ = 73.0°, I 7.2
- (2 0 5), 2θ = 69.5°, I 2.8
- (0 1 1), 2θ = 19.8°, I 2.0
- (1 0 0), 2θ = 16.1°, I 1.7
- (1 1 2), 2θ = 36.6°, I 1.0